Calculated XRD peak list
Compound: CaBr
Radiation: a wavelength of 1.5418 Å
Structure: a GGA-PBE-relaxed structure
Peak positions follow from Bragg's law for the DFT cell and can differ from measured ones.

Crystal structure
a = 4.0841 Å, b = 4.0841 Å, c = 9.6721 Å
α = 90.00°, β = 90.00°, γ = 120.00°
Sites, in units of the cell vectors:
Ca (0.3333, 0.6667, 0.0000)
Ca (0.6667, 0.3333, 0.5000)
Br (0.3333, 0.6667, 0.6940)
Br (0.6667, 0.3333, 0.1940)

Most intense lines, 2θ from 5° to 70°, in order of falling intensity:
| Position (°2θ) | intensity |
| --- | --- |
| 26.8 | 100 |
| 37.8 | 93 |
| 25.2 | 50 |
| 44.4 | 41 |
| 18.3 | 29 |
| 59.6 | 23 |
| 59.2 | 21 |
| 52.6 | 15 |
| 37.2 | 14 |
| 48.4 | 14 |

Calculated XRD peak list
Compound: ThAs2
Radiation: a wavelength of 1.5418 Å
Structure: a GGA-PBE-relaxed structure
Peak positions follow from Bragg's law for the DFT cell and can differ from measured ones.

Crystal structure
a = 4.1277 Å, b = 4.1277 Å, c = 8.5440 Å
α = 90.00°, β = 90.00°, γ = 90.00°
Sites, in units of the cell vectors:
Th (0.2500, 0.2500, 0.2181)
Th (0.7500, 0.7500, 0.7819)
As (0.2500, 0.2500, 0.8604)
As (0.2500, 0.7500, 0.5000)
As (0.7500, 0.2500, 0.5000)
As (0.7500, 0.7500, 0.1396)

Most intense lines, 2θ from 5° to 70°, in order of falling intensity:
| Position (°2θ) | intensity |
| --- | --- |
| 37.3 | 100 |
| 23.9 | 87 |
| 38.4 | 52 |
| 43.9 | 52 |
| 32.4 | 49 |
| 30.6 | 47 |
| 31.4 | 33 |
| 59.7 | 29 |
| 54.9 | 27 |
| 50.6 | 25 |

Calculated XRD peak list
Compound: BO2F3
Radiation: a wavelength of 1.5418 Å
Structure: a GGA-PBE-relaxed structure
Peak positions follow from Bragg's law for the DFT cell and can differ from measured ones.

Crystal structure
a = 6.2866 Å, b = 8.0062 Å, c = 8.4209 Å
α = 90.00°, β = 99.67°, γ = 90.00°
Sites, in units of the cell vectors:
B (0.2030, 0.1691, 0.4268)
B (0.2030, 0.3309, 0.9268)
B (0.7970, 0.6691, 0.0732)
B (0.7970, 0.8309, 0.5732)
O (0.3055, 0.6982, 0.3921)
O (0.3055, 0.8018, 0.8921)
O (0.3903, 0.7151, 0.5344)
O (0.3903, 0.7849, 0.0344)
O (0.6097, 0.2151, 0.9656)
O (0.6097, 0.2849, 0.4656)
O (0.6945, 0.1982, 0.1079)
O (0.6945, 0.3018, 0.6079)
F (0.1181, 0.1793, 0.9058)
F (0.1181, 0.3207, 0.4058)
F (0.2396, 0.1017, 0.5737)
F (0.2396, 0.3983, 0.0737)
F (0.2447, 0.0814, 0.3016)
F (0.2447, 0.4186, 0.8016)
F (0.7553, 0.5814, 0.1984)
F (0.7553, 0.9186, 0.6984)
F (0.7604, 0.6017, 0.9263)
F (0.7604, 0.8983, 0.4263)
F (0.8819, 0.6793, 0.5942)
F (0.8819, 0.8207, 0.0942)

Most intense lines, 2θ from 5° to 70°, in order of falling intensity:
| Position (°2θ) | intensity |
| --- | --- |
| 31.0 | 100 |
| 28.8 | 54 |
| 29.6 | 50 |
| 36.7 | 48 |
| 22.2 | 37 |
| 21.4 | 33 |
| 23.7 | 33 |
| 34.9 | 32 |
| 18.1 | 29 |
| 27.7 | 27 |

Calculated XRD peak list
Compound: Ce2CdCu2
Radiation: a wavelength of 1.5418 Å
Structure: a GGA-PBE-relaxed structure
Peak positions follow from Bragg's law for the DFT cell and can differ from measured ones.

Crystal structure
a = 5.6486 Å, b = 5.6486 Å, c = 7.5149 Å
α = 102.86°, β = 102.86°, γ = 79.73°
Sites, in units of the cell vectors:
Ce (0.1677, 0.1677, 0.2271)
Ce (0.2992, 0.2992, 0.7604)
Ce (0.7008, 0.7008, 0.2396)
Ce (0.8323, 0.8323, 0.7729)
Cd (0.2756, 0.7244, 0.5000)
Cd (0.7244, 0.2756, 0.5000)
Cu (0.1734, 0.6255, 0.0974)
Cu (0.3745, 0.8266, 0.9026)
Cu (0.6255, 0.1734, 0.0974)
Cu (0.8266, 0.3745, 0.9026)

Most intense lines, 2θ from 5° to 70°, in order of falling intensity:
| Position (°2θ) | intensity |
| --- | --- |
| 32.8 | 100 |
| 35.2 | 68 |
| 37.5 | 57 |
| 55.6 | 45 |
| 27.7 | 36 |
| 41.7 | 31 |
| 37.4 | 30 |
| 64.5 | 17 |
| 50.4 | 16 |
| 67.4 | 12 |

Calculated XRD peak list
Compound: ZrCrSi
Radiation: a wavelength of 1.5418 Å
Structure: a GGA-PBE-relaxed structure
Peak positions follow from Bragg's law for the DFT cell and can differ from measured ones.

Crystal structure
a = 6.7407 Å, b = 3.5199 Å, c = 7.8883 Å
α = 90.00°, β = 90.00°, γ = 90.00°
Sites, in units of the cell vectors:
Zr (0.0405, 0.2500, 0.1707)
Zr (0.4595, 0.7500, 0.6707)
Zr (0.5405, 0.2500, 0.3293)
Zr (0.9595, 0.7500, 0.8293)
Cr (0.1224, 0.2500, 0.5582)
Cr (0.3776, 0.7500, 0.0582)
Cr (0.6224, 0.2500, 0.9418)
Cr (0.8776, 0.7500, 0.4418)
Si (0.2389, 0.7500, 0.3674)
Si (0.2611, 0.2500, 0.8674)
Si (0.7389, 0.7500, 0.1326)
Si (0.7611, 0.2500, 0.6326)

Most intense lines, 2θ from 5° to 70°, in order of falling intensity:
| Position (°2θ) | intensity |
| --- | --- |
| 36.7 | 100 |
| 38.7 | 44 |
| 36.9 | 27 |
| 46.5 | 18 |
| 52.0 | 16 |
| 65.3 | 16 |
| 45.1 | 13 |
| 68.7 | 12 |
| 26.4 | 11 |
| 27.8 | 11 |

Calculated XRD peak list
Compound: Rb2TbF6
Radiation: a wavelength of 1.5418 Å
Structure: a GGA-PBE-relaxed structure
Peak positions follow from Bragg's law for the DFT cell and can differ from measured ones.

Crystal structure
a = 7.0118 Å, b = 7.0118 Å, c = 7.5097 Å
α = 90.63°, β = 90.63°, γ = 117.85°
Sites, in units of the cell vectors:
Rb (0.1433, 0.8254, 0.5012)
Rb (0.1746, 0.8567, 0.9988)
Rb (0.8254, 0.1433, 0.0012)
Rb (0.8567, 0.1746, 0.4988)
Tb (0.4609, 0.5391, 0.2500)
Tb (0.5391, 0.4609, 0.7500)
F (0.1186, 0.5045, 0.2323)
F (0.1921, 0.2025, 0.7644)
F (0.2025, 0.1921, 0.2644)
F (0.3705, 0.5737, 0.5453)
F (0.4263, 0.6295, 0.9547)
F (0.4955, 0.8814, 0.2677)
F (0.5045, 0.1186, 0.7323)
F (0.5737, 0.3705, 0.0453)
F (0.6295, 0.4263, 0.4547)
F (0.7975, 0.8079, 0.7356)
F (0.8079, 0.7975, 0.2356)
F (0.8814, 0.4955, 0.7677)

Most intense lines, 2θ from 5° to 70°, in order of falling intensity:
| Position (°2θ) | intensity |
| --- | --- |
| 28.0 | 100 |
| 25.4 | 82 |
| 24.6 | 67 |
| 27.6 | 48 |
| 14.3 | 36 |
| 43.8 | 34 |
| 38.4 | 33 |
| 45.8 | 29 |
| 38.0 | 22 |
| 18.9 | 21 |

Calculated XRD peak list
Compound: MgP4
Radiation: a wavelength of 1.5418 Å
Structure: a GGA-PBE-relaxed structure
Peak positions follow from Bragg's law for the DFT cell and can differ from measured ones.

Crystal structure
a = 5.1904 Å, b = 5.1187 Å, c = 7.5967 Å
α = 90.00°, β = 98.57°, γ = 90.00°
Sites, in units of the cell vectors:
Mg (0.0000, 0.0000, 0.0000)
Mg (0.0000, 0.5000, 0.5000)
P (0.2530, 0.2078, 0.7538)
P (0.2530, 0.2922, 0.2538)
P (0.3968, 0.6087, 0.0995)
P (0.3968, 0.8913, 0.5995)
P (0.6032, 0.1087, 0.4005)
P (0.6032, 0.3913, 0.9005)
P (0.7470, 0.7078, 0.7462)
P (0.7470, 0.7922, 0.2462)

Most intense lines, 2θ from 5° to 70°, in order of falling intensity:
| Position (°2θ) | intensity |
| --- | --- |
| 28.4 | 100 |
| 32.5 | 79 |
| 45.7 | 33 |
| 42.8 | 26 |
| 24.6 | 25 |
| 57.6 | 19 |
| 29.5 | 18 |
| 50.6 | 17 |
| 51.0 | 16 |
| 17.3 | 16 |